This entry pairs a crystal structure of Na2LaNbSi2SO12 with its calculated XRD peak list. Radiation: CuKα. Structure: a DFT-relaxed cell (PBE, the Materials Project).
No peak broadening, texture or thermal motion is included.

Most intense lines, 2θ = 10–90°, most intense first:
2theta  Rel. int.  index
18.6  1000  0 2 0
19.0  759  3 1 -1
19.1  446  2 0 -2
29.5  441  3 1 1
32.8  430  3 3 -1
29.8  412  0 2 2
21.9  377  0 2 1
26.8  320  2 2 -2
30.4  314  3 1 -3
44.7  269  6 2 0

Structural model:
Cell: 16.147 9.513 9.295 Å, 90.00 123.60 90.00°
Space group Cc (No. 9)
Unique sites:
Na: 0.000 0.054 0.000 x4
Na: 0.094 0.244 0.752 x4
La: 0.423 0.246 0.812 x4
Nb: 0.221 0.252 0.195 x4
Si: 0.181 0.084 0.504 x4
Si: 0.321 0.459 0.014 x4
S: 0.482 0.119 0.500 x4
O: 0.064 0.293 0.003 x4
O: 0.083 0.138 0.493 x4
O: 0.184 0.137 0.329 x4
O: 0.186 0.094 0.027 x4
O: 0.241 0.365 0.034 x4
O: 0.261 0.417 0.350 x4
O: 0.279 0.142 0.671 x4
O: 0.386 0.179 0.352 x4
O: 0.392 0.355 0.991 x4
O: 0.397 0.457 0.687 x4
O: 0.493 0.140 0.664 x4
O: 0.498 0.028 0.979 x4